Calculated X-ray diffraction stick pattern
Compound: NaBiTeO5
Radiation: λ = 1.5418 Å (Cu Kα)
Structure: the PBE geometry in the Materials Project
Kinematic intensities with the Lorentz-polarization factor, no thermal factor.

Cell and atoms:
Lattice parameters (Å, degrees): 7.398 9.913 6.357 90.00 107.29 90.00
Space group P2_1/c (No. 14)
Asymmetric unit:
Na: 0.232 0.218 0.098
Bi: 0.290 0.631 0.456
Te: 0.000 0.000 0.500
Te: 0.500 0.000 0.500
O: 0.097 0.679 0.102
O: 0.134 0.069 0.786
O: 0.223 0.045 0.389
O: 0.460 0.684 0.894
O: 0.492 0.051 0.200

Top 12 peaks for 2θ from 5° to 70°, by intensity:
2θ 26.72, d 3.337, I 100, hkl 2 1 -1
2θ 30.81, d 2.902, I 91, hkl 0 3 1
2θ 15.40, d 5.753, I 87, hkl 1 1 0
2θ 24.21, d 3.676, I 53, hkl 1 2 -1
2θ 29.43, d 3.035, I 53, hkl 0 0 2
2θ 28.47, d 3.135, I 52, hkl 1 2 1
2θ 31.05, d 2.880, I 49, hkl 2 2 -1
2θ 34.17, d 2.624, I 48, hkl 2 1 1
2θ 48.31, d 1.884, I 35, hkl 0 5 1
2θ 44.67, d 2.029, I 34, hkl 2 4 0
2θ 17.90, d 4.956, I 23, hkl 0 2 0
2θ 29.83, d 2.995, I 22, hkl 1 3 0